(1)
This entry pairs a crystal structure of Tm3Ag3SnS8 with its simulated PXRD pattern. Radiation: Cu Ka. Structure: a crystal structure in Alexandria, relaxed with PBE.
Peak positions follow from Bragg's law for the DFT cell and can differ from measured ones.

Crystal structure
```
data_Tm3Ag3SnS8
_space_group_name_H-M_alt 'C 1 2/m 1'
_space_group_IT_number 12
_cell_length_a 13.468
_cell_length_b 7.815
_cell_length_c 7.809
_cell_angle_alpha 90.00
_cell_angle_beta 125.16
_cell_angle_gamma 90.00
loop_
_space_group_symop_operation_xyz
'x,y,z'
'-x,-y,-z'
'-x,y,-z'
'x,-y,z'
'x+1/2,y+1/2,z'
'-x+1/2,-y+1/2,-z'
'-x+1/2,y+1/2,-z'
'x+1/2,-y+1/2,z'
loop_
_atom_site_label
_atom_site_type_symbol
_atom_site_fract_x
_atom_site_fract_y
_atom_site_fract_z
_atom_site_occupancy
Tm1 Tm 0.000 0.000 0.000 1
Tm2 Tm 0.250 0.250 0.500 1
Ag1 Ag 0.000 0.500 0.500 1
Ag2 Ag 0.250 0.250 0.000 1
Sn1 Sn 0.000 0.500 0.000 1
S1 S 0.002 0.261 0.235 1
S2 S 0.237 0.500 0.242 1
S3 S 0.244 0.000 0.258 1
```

Top 10 peaks for 2θ = 15–90°, low angle first:
| h k l | 2theta | I_rel |
| --- | --- | --- |
| 2 2 0 | 27.98 | 70 |
| 4 0 -2 | 28.08 | 23 |
| 2 2 -2 | 32.41 | 100 |
| 4 0 0 | 32.53 | 50 |
| 2 2 2 | 46.50 | 71 |
| 6 2 -2 | 46.67 | 35 |
| 2 2 -4 | 55.13 | 23 |
| 4 4 0 | 57.88 | 18 |
| 0 4 4 | 77.21 | 23 |
| 6 2 2 | 77.39 | 15 |

---

(2)
This entry pairs a crystal structure of CsSmF4 with its simulated PXRD pattern. Radiation: Cu Ka. Structure: a crystal structure in Alexandria, relaxed with PBE.
Peak positions follow from Bragg's law for the DFT cell and can differ from measured ones.

Crystal structure
```
data_CsSmF4
_space_group_name_H-M_alt 'P n m a'
_space_group_IT_number 62
_cell_length_a 6.488
_cell_length_b 3.782
_cell_length_c 17.027
_cell_angle_alpha 90.00
_cell_angle_beta 90.00
_cell_angle_gamma 90.00
loop_
_space_group_symop_operation_xyz
'x,y,z'
'-x,-y,-z'
'-x+1/2,-y,z+1/2'
'x+1/2,y,-z+1/2'
'x+1/2,-y+1/2,-z+1/2'
'-x+1/2,y+1/2,z+1/2'
'-x,y+1/2,-z'
'x,-y+1/2,z'
loop_
_atom_site_label
_atom_site_type_symbol
_atom_site_fract_x
_atom_site_fract_y
_atom_site_fract_z
_atom_site_occupancy
Cs1 Cs 0.230 0.250 0.197 1
Sm1 Sm 0.248 0.750 0.447 1
F1 F 0.002 0.750 0.950 1
F2 F 0.109 0.250 0.826 1
F3 F 0.118 0.250 0.381 1
F4 F 0.128 0.250 0.536 1
```

Top 10 peaks for 2θ = 15–90°, low angle first:
| h k l | 2theta | I_rel |
| --- | --- | --- |
| 1 0 4 | 25.02 | 100 |
| 2 0 0 | 27.50 | 40 |
| 1 1 1 | 27.80 | 67 |
| 0 1 3 | 28.36 | 35 |
| 2 1 3 | 39.91 | 42 |
| 2 1 5 | 45.46 | 22 |
| 1 1 7 | 46.55 | 23 |
| 3 0 4 | 47.14 | 23 |
| 3 1 1 | 48.80 | 20 |
| 1 2 4 | 54.98 | 23 |

---

(3)
This entry pairs a crystal structure of Ac3PmIn3 with its simulated PXRD pattern. Radiation: Cu Ka. Structure: a crystal structure in Alexandria, relaxed with PBE.
Peak positions follow from Bragg's law for the DFT cell and can differ from measured ones.

Crystal structure
```
data_Ac3PmIn3
_space_group_name_H-M_alt 'C m m m'
_space_group_IT_number 65
_space_group_name_Hall '-C 2 2'
_cell_length_a 11.133
_cell_length_b 11.677
_cell_length_c 7.806
_cell_angle_alpha 90.00
_cell_angle_beta 90.00
_cell_angle_gamma 90.00
loop_
_atom_site_label
_atom_site_type_symbol
_atom_site_fract_x
_atom_site_fract_y
_atom_site_fract_z
_atom_site_occupancy
Ac1 Ac 0.000 0.245 0.000 1
Ac2 Ac 0.213 0.000 0.500 1
Ac3 Ac 0.244 0.500 0.000 1
Pm1 Pm 0.000 0.267 0.500 1
In1 In 0.000 0.500 0.273 1
In2 In 0.250 0.250 0.269 1
```

Top 10 peaks for 2θ = 15–90°, low angle first:
| h k l | 2theta | I_rel |
| --- | --- | --- |
| 2 2 0 | 22.06 | 18 |
| 0 0 2 | 22.78 | 10 |
| 0 4 0 | 30.62 | 29 |
| 2 2 2 | 31.92 | 100 |
| 4 0 0 | 32.16 | 22 |
| 4 4 0 | 45.00 | 17 |
| 2 6 2 | 55.26 | 20 |
| 0 4 4 | 56.74 | 10 |
| 6 2 2 | 57.19 | 14 |
| 4 4 4 | 66.73 | 10 |

---

(4)
This entry pairs a crystal structure of TaTiMo3W with its simulated PXRD pattern. Radiation: Cu Ka. Structure: a crystal structure in Alexandria, relaxed with PBE.
Peak positions follow from Bragg's law for the DFT cell and can differ from measured ones.

Crystal structure
```
data_TaTiMo3W
_space_group_name_H-M_alt 'C 1 2/c 1'
_space_group_IT_number 15
_cell_length_a 7.037
_cell_length_b 15.307
_cell_length_c 4.823
_cell_angle_alpha 90.00
_cell_angle_beta 127.28
_cell_angle_gamma 90.00
loop_
_space_group_symop_operation_xyz
'x,y,z'
'-x,-y,-z'
'-x,y,-z+1/2'
'x,-y,z+1/2'
'x+1/2,y+1/2,z'
'-x+1/2,-y+1/2,-z'
'-x+1/2,y+1/2,-z+1/2'
'x+1/2,-y+1/2,z+1/2'
loop_
_atom_site_label
_atom_site_type_symbol
_atom_site_fract_x
_atom_site_fract_y
_atom_site_fract_z
_atom_site_occupancy
Ta1 Ta 0.000 0.099 0.250 1
Ti1 Ti 0.000 0.239 0.750 1
Mo1 Mo 0.000 0.283 0.250 1
Mo2 Mo 0.249 0.090 0.996 1
W1 W 0.000 0.449 0.250 1
```

Top 10 peaks for 2θ = 15–90°, low angle first:
| h k l | 2theta | I_rel |
| --- | --- | --- |
| 1 5 0 | 33.36 | 32 |
| 0 6 0 | 35.18 | 55 |
| 1 1 1 | 35.97 | 45 |
| 2 0 -2 | 37.48 | 100 |
| 3 1 -1 | 39.29 | 44 |
| 1 3 1 | 39.76 | 80 |
| 0 6 1 | 42.55 | 41 |
| 3 3 -1 | 42.82 | 65 |
| 2 6 -1 | 44.03 | 38 |
| 2 6 -2 | 52.34 | 43 |

---

(5)
This entry pairs a crystal structure of UCo5P3 with its simulated PXRD pattern. Radiation: Cu Ka. Structure: a crystal structure in Alexandria, relaxed with PBE.
Peak positions follow from Bragg's law for the DFT cell and can differ from measured ones.

Crystal structure
```
data_UCo5P3
_space_group_name_H-M_alt 'C m c m'
_space_group_IT_number 63
_space_group_name_Hall '-C 2c 2'
_cell_length_a 3.562
_cell_length_b 11.367
_cell_length_c 11.243
_cell_angle_alpha 90.00
_cell_angle_beta 90.00
_cell_angle_gamma 90.00
loop_
_atom_site_label
_atom_site_type_symbol
_atom_site_fract_x
_atom_site_fract_y
_atom_site_fract_z
_atom_site_occupancy
U1 U 0.000 0.155 0.250 1
Co1 Co 0.000 0.000 0.000 1
Co2 Co 0.000 0.200 0.570 1
Co3 Co 0.000 0.445 0.143 1
P1 P 0.000 0.115 0.750 1
P2 P 0.000 0.383 0.543 1
```

Top 10 peaks for 2θ = 15–90°, low angle first:
| h k l | 2theta | I_rel |
| --- | --- | --- |
| 0 2 1 | 17.48 | 30 |
| 1 1 1 | 27.41 | 41 |
| 0 2 3 | 28.53 | 57 |
| 0 4 1 | 32.50 | 30 |
| 1 3 0 | 34.56 | 57 |
| 1 1 3 | 35.66 | 100 |
| 1 3 2 | 38.19 | 73 |
| 1 1 4 | 41.70 | 60 |
| 2 0 0 | 51.31 | 54 |
| 1 5 3 | 53.72 | 29 |

---

(6)
This entry pairs a crystal structure of NaZr2ZnF11 with its simulated PXRD pattern. Radiation: Cu Ka. Structure: a crystal structure in Alexandria, relaxed with PBE.
Peak positions follow from Bragg's law for the DFT cell and can differ from measured ones.

Crystal structure
```
data_NaZr2ZnF11
_space_group_name_H-M_alt 'C 1 2/m 1'
_space_group_IT_number 12
_cell_length_a 9.252
_cell_length_b 6.820
_cell_length_c 7.880
_cell_angle_alpha 90.00
_cell_angle_beta 116.03
_cell_angle_gamma 90.00
loop_
_space_group_symop_operation_xyz
'x,y,z'
'-x,-y,-z'
'-x,y,-z'
'x,-y,z'
'x+1/2,y+1/2,z'
'-x+1/2,-y+1/2,-z'
'-x+1/2,y+1/2,-z'
'x+1/2,-y+1/2,z'
loop_
_atom_site_label
_atom_site_type_symbol
_atom_site_fract_x
_atom_site_fract_y
_atom_site_fract_z
_atom_site_occupancy
Na1 Na 0.000 0.000 0.000 1
Zr1 Zr 0.006 0.500 0.237 1
Zn1 Zn 0.000 0.000 0.500 1
F1 F 0.000 0.329 0.000 1
F2 F 0.000 0.500 0.500 1
F3 F 0.015 0.204 0.312 1
F4 F 0.232 0.500 0.890 1
F5 F 0.247 0.000 0.649 1
```

Top 10 peaks for 2θ = 15–90°, low angle first:
| h k l | 2theta | I_rel |
| --- | --- | --- |
| 1 1 0 | 16.81 | 28 |
| 1 1 -1 | 17.96 | 14 |
| 2 0 0 | 21.37 | 74 |
| 1 1 -2 | 26.13 | 100 |
| 4 0 0 | 43.54 | 21 |
| 1 3 -2 | 46.09 | 39 |
| 3 3 -2 | 51.18 | 17 |
| 4 2 0 | 51.50 | 20 |
| 3 1 2 | 51.79 | 10 |
| 2 4 -4 | 73.45 | 10 |

---

(7)
This entry pairs a crystal structure of TmScTeS with its simulated PXRD pattern. Radiation: Cu Ka. Structure: a crystal structure in Alexandria, relaxed with PBE.
Peak positions follow from Bragg's law for the DFT cell and can differ from measured ones.

Crystal structure
```
data_TmScTeS
_space_group_name_H-M_alt 'R 3 m'
_space_group_IT_number 160
_space_group_name_Hall 'R 3 -2"'
_cell_length_a 3.8831
_cell_length_b 3.8831
_cell_length_c 20.7238
_cell_angle_alpha 90.00
_cell_angle_beta 90.00
_cell_angle_gamma 120.00
loop_
_atom_site_label
_atom_site_type_symbol
_atom_site_fract_x
_atom_site_fract_y
_atom_site_fract_z
_atom_site_occupancy
Tm1 Tm 0.0000 0.0000 0.0000 1
Sc1 Sc 0.0000 0.0000 0.1963 1
Te1 Te 0.0000 0.0000 0.4334 1
S1 S 0.0000 0.0000 0.5970 1
```

Top 10 peaks for 2θ = 15–90°, low angle first:
| h k l | 2theta | I_rel |
| --- | --- | --- |
| 0 1 2 | 27.89 | 87 |
| 1 0 4 | 31.72 | 48 |
| 0 1 5 | 34.34 | 100 |
| 0 0 9 | 39.12 | 16 |
| 1 0 7 | 40.60 | 49 |
| 1 1 0 | 46.79 | 54 |
| 2 0 5 | 59.31 | 20 |
| 1 1 9 | 62.58 | 24 |
| 1 1 12 | 73.37 | 15 |
| 1 2 5 | 78.75 | 17 |

---

Copy entry 3 word for word.
This entry pairs a crystal structure of Ac3PmIn3 with its simulated PXRD pattern. Radiation: Cu Ka. Structure: a crystal structure in Alexandria, relaxed with PBE.
Peak positions follow from Bragg's law for the DFT cell and can differ from measured ones.

Crystal structure
```
data_Ac3PmIn3
_space_group_name_H-M_alt 'C m m m'
_space_group_IT_number 65
_space_group_name_Hall '-C 2 2'
_cell_length_a 11.133
_cell_length_b 11.677
_cell_length_c 7.806
_cell_angle_alpha 90.00
_cell_angle_beta 90.00
_cell_angle_gamma 90.00
loop_
_atom_site_label
_atom_site_type_symbol
_atom_site_fract_x
_atom_site_fract_y
_atom_site_fract_z
_atom_site_occupancy
Ac1 Ac 0.000 0.245 0.000 1
Ac2 Ac 0.213 0.000 0.500 1
Ac3 Ac 0.244 0.500 0.000 1
Pm1 Pm 0.000 0.267 0.500 1
In1 In 0.000 0.500 0.273 1
In2 In 0.250 0.250 0.269 1
```

Top 10 peaks for 2θ = 15–90°, low angle first:
| h k l | 2theta | I_rel |
| --- | --- | --- |
| 2 2 0 | 22.06 | 18 |
| 0 0 2 | 22.78 | 10 |
| 0 4 0 | 30.62 | 29 |
| 2 2 2 | 31.92 | 100 |
| 4 0 0 | 32.16 | 22 |
| 4 4 0 | 45.00 | 17 |
| 2 6 2 | 55.26 | 20 |
| 0 4 4 | 56.74 | 10 |
| 6 2 2 | 57.19 | 14 |
| 4 4 4 | 66.73 | 10 |